Li2TcH4: theoretical powder diffraction line list (λ = 1.5418 Å (Cu Kα)), based on a cell relaxed with GGA-PBE.
Intensities are scaled so that the largest is 100.

Top 8 peaks for 10 to 80 degrees two-theta, in order of rising 2θ:
2θ/deg  d [Å]  Rel. int.
19.97  4.447  100
21.23  4.184  85
21.86  4.066  85
35.13  2.554  47
35.32  2.541  29
36.50  2.462  27
38.21  2.355  48
47.00  1.933  28

Crystal structure
a b c (Å): 4.8465 4.8465 4.9493
angles (deg): 114.96 114.96 32.13
Positions (direct):
Li 0.1694 0.1694 0.1565
Li 0.8306 0.8306 0.8435
Tc 0.5000 0.5000 0.5000
H 0.1384 0.1384 0.5140
H 0.3833 0.3833 0.1097
H 0.6167 0.6167 0.8903
H 0.8616 0.8616 0.4860



LiZnTcH6: theoretical powder diffraction line list (λ = 1.5418 Å (Cu Kα)), based on a cell relaxed with GGA-PBE.
Intensities are scaled so that the largest is 100.

Top 8 peaks for 10 to 80 degrees two-theta, in order of rising 2θ:
2θ/deg  d [Å]  Rel. int.
19.93  4.454  100
22.49  3.953  59
30.23  2.956  64
39.49  2.282  57
40.51  2.227  17
44.61  2.031  73
50.52  1.807  15
57.85  1.594  37

Crystal structure
a b c (Å): 4.5642 4.5642 8.9082
angles (deg): 90.00 90.00 120.00
Positions (direct):
Li 0.0000 0.0000 0.0000
Li 0.0000 0.0000 0.5000
Zn 0.3333 0.6667 0.2500
Zn 0.6667 0.3333 0.7500
Tc 0.3333 0.6667 0.7500
Tc 0.6667 0.3333 0.2500
H 0.0285 0.5142 0.6133
H 0.0285 0.5142 0.8867
H 0.4858 0.5142 0.6133
H 0.4858 0.5142 0.8867
H 0.4858 0.9715 0.6133
H 0.4858 0.9715 0.8867
H 0.5142 0.0285 0.1133
H 0.5142 0.0285 0.3867
H 0.5142 0.4858 0.1133
H 0.5142 0.4858 0.3867
H 0.9715 0.4858 0.1133
H 0.9715 0.4858 0.3867



Li2ThH6: theoretical powder diffraction line list (λ = 1.5418 Å (Cu Kα)), based on a cell relaxed with GGA-PBE.
Intensities are scaled so that the largest is 100.

Top 8 peaks for 10 to 80 degrees two-theta, in order of rising 2θ:
2θ/deg  d [Å]  Rel. int.
18.44  4.813  100
21.32  4.168  51
30.33  2.947  49
35.72  2.513  60
47.55  1.912  28
48.86  1.864  23
57.44  1.604  21
66.34  1.409  21

Crystal structure
a b c (Å): 5.8943 5.8943 5.8943
angles (deg): 60.00 60.00 60.00
Positions (direct):
Li 0.2500 0.2500 0.2500
Li 0.7500 0.7500 0.7500
Th 0.0000 0.0000 0.0000
H 0.2662 0.2662 0.7338
H 0.2662 0.7338 0.2662
H 0.2662 0.7338 0.7338
H 0.7338 0.2662 0.2662
H 0.7338 0.2662 0.7338
H 0.7338 0.7338 0.2662